Record 1
Theoretical X-ray diffraction stick pattern
Compound: Li9Mn2Co5O16
Radiation: a wavelength of 1.5418 Å
Structure: a crystal structure in the Materials Project, relaxed with GGA+U
Peak positions follow from Bragg's law for the DFT cell and can differ from measured ones.

Top 6 peaks for 10 to 90 degrees two-theta, in order of falling intensity:
index  2theta  I_rel
1 0 1  18.27  100
1 2 3  42.76  29
2 0 -2  43.82  26
1 -2 3  43.98  26
0 2 -2  36.27  25
0 2 2  35.43  15

```
data_Li9Mn2Co5O16
_cell_length_a 5.129
_cell_length_b 5.882
_cell_length_c 9.731
_cell_angle_alpha 88.40
_cell_angle_beta 78.80
_cell_angle_gamma 89.51
_symmetry_space_group_name_H-M 'P 1'
_symmetry_Int_Tables_number 1
_symmetry_space_group_name_Hall 'P 1'
loop_
_atom_site_label
_atom_site_fract_x
_atom_site_fract_y
_atom_site_fract_z
Li1 0.000 0.000 0.000
Li2 0.002 0.509 0.997
Li3 0.008 0.256 0.502
Li4 0.248 0.257 0.744
Li5 0.253 0.747 0.742
Li6 0.494 0.021 0.510
Li7 0.507 0.494 0.504
Li8 0.756 0.253 0.265
Li9 0.760 0.760 0.257
Mn1 0.252 0.503 0.256
Mn2 0.502 0.254 0.003
Co1 0.003 0.755 0.501
Co2 0.258 0.009 0.257
Co3 0.496 0.754 0.002
Co4 0.753 0.502 0.745
Co5 0.761 0.012 0.742
O1 0.100 0.516 0.629
O2 0.112 0.991 0.631
O3 0.156 0.261 0.137
O4 0.156 0.742 0.125
O5 0.366 0.746 0.360
O6 0.376 0.273 0.368
O7 0.391 0.014 0.897
O8 0.391 0.487 0.882
O9 0.599 0.500 0.116
O10 0.600 0.021 0.130
O11 0.628 0.255 0.638
O12 0.636 0.764 0.628
O13 0.834 0.757 0.880
O14 0.848 0.253 0.885
O15 0.910 0.511 0.368
O16 0.919 0.991 0.371
```


Record 2
Theoretical X-ray diffraction stick pattern
Compound: Li4Fe3B4O12
Radiation: a wavelength of 1.5418 Å
Structure: a crystal structure in the Materials Project, relaxed with GGA+U
Peak positions follow from Bragg's law for the DFT cell and can differ from measured ones.

Top 6 peaks for 10 to 90 degrees two-theta, in order of falling intensity:
index  2theta  I_rel
0 1 1  13.31  100
0 0 4  36.14  83
0 1 2  20.44  71
1 3 -1  34.59  62
1 2 -1  26.16  58
1 2 0  27.46  38

```
data_Li4Fe3B4O12
_cell_length_a 5.252
_cell_length_b 8.949
_cell_length_c 11.053
_cell_angle_alpha 90.00
_cell_angle_beta 115.92
_cell_angle_gamma 90.00
_symmetry_space_group_name_H-M 'P 1 c 1'
_symmetry_Int_Tables_number 7
_symmetry_space_group_name_Hall 'P -2yc'
loop_
_atom_site_label
_atom_site_fract_x
_atom_site_fract_y
_atom_site_fract_z
Li1 0.000 0.087 0.000
Li2 0.066 0.237 0.563
Li3 0.440 0.237 0.960
Li4 0.634 0.264 0.771
Fe1 0.017 0.301 0.213
Fe2 0.521 0.430 0.512
Fe3 0.566 0.062 0.258
B1 0.107 0.059 0.763
B2 0.519 0.089 0.515
B3 0.568 0.409 0.255
B4 0.995 0.427 0.997
O1 0.163 0.085 0.227
O2 0.243 0.413 0.984
O3 0.294 0.168 0.768
O4 0.370 0.416 0.308
O5 0.410 0.227 0.530
O6 0.424 0.039 0.054
O7 0.660 0.467 0.712
O8 0.672 0.270 0.242
O9 0.718 0.081 0.464
O10 0.845 0.298 0.000
O11 0.877 0.082 0.790
O12 0.898 0.435 0.516
```


Record 3
Theoretical X-ray diffraction stick pattern
Compound: BaSrPrVO6
Radiation: a wavelength of 1.5418 Å
Structure: a crystal structure in the Materials Project, relaxed with GGA+U
Peak positions follow from Bragg's law for the DFT cell and can differ from measured ones.

Top 6 peaks for 10 to 90 degrees two-theta, in order of falling intensity:
index  2theta  I_rel
2 0 2  29.91  100
4 2 2  53.10  42
0 4 0  42.79  20
4 0 4  62.14  17
6 0 2  70.54  12
6 4 2  86.17  11

```
data_BaSrPrVO6
_cell_length_a 8.441
_cell_length_b 8.446
_cell_length_c 8.462
_cell_angle_alpha 90.00
_cell_angle_beta 90.00
_cell_angle_gamma 90.00
_symmetry_space_group_name_H-M 'P 2 2 2'
_symmetry_Int_Tables_number 16
_symmetry_space_group_name_Hall 'P 2 2'
loop_
_atom_site_label
_atom_site_fract_x
_atom_site_fract_y
_atom_site_fract_z
Ba1 0.000 0.000 0.000
Ba2 0.000 0.000 0.500
Ba3 0.500 0.000 0.000
Ba4 0.500 0.500 0.500
Sr1 0.000 0.500 0.000
Sr2 0.000 0.500 0.500
Sr3 0.500 0.000 0.500
Sr4 0.500 0.500 0.000
Pr1 0.252 0.253 0.750
V1 0.249 0.254 0.252
O1 0.025 0.230 0.273
O2 0.219 0.475 0.288
O3 0.221 0.282 0.025
O4 0.270 0.027 0.227
O5 0.286 0.222 0.474
O6 0.472 0.286 0.217
```


Record 4
Theoretical X-ray diffraction stick pattern
Compound: Li5Fe4Si6O20
Radiation: a wavelength of 1.5418 Å
Structure: a crystal structure in the Materials Project, relaxed with GGA+U
Peak positions follow from Bragg's law for the DFT cell and can differ from measured ones.

Top 6 peaks for 10 to 90 degrees two-theta, in order of falling intensity:
index  2theta  I_rel
1 0 0  18.87  100
0 0 6  31.87  68
0 0 2  10.50  62
0 1 -2  21.06  49
0 1 -1  19.20  35
-2 1 1  33.08  32

```
data_Li5Fe4Si6O20
_cell_length_a 5.431
_cell_length_b 5.446
_cell_length_c 16.929
_cell_angle_alpha 90.20
_cell_angle_beta 94.83
_cell_angle_gamma 119.45
_symmetry_space_group_name_H-M 'P 1'
_symmetry_Int_Tables_number 1
_symmetry_space_group_name_Hall 'P 1'
loop_
_atom_site_label
_atom_site_fract_x
_atom_site_fract_y
_atom_site_fract_z
Li1 0.000 0.000 0.000
Li2 0.002 0.514 0.605
Li3 0.117 0.101 0.327
Li4 0.891 0.246 0.805
Li5 0.991 0.334 0.110
Fe1 0.298 0.668 0.968
Fe2 0.315 0.479 0.470
Fe3 0.681 0.670 0.137
Fe4 0.693 0.845 0.639
Si1 0.348 0.999 0.160
Si2 0.357 0.185 0.655
Si3 0.498 0.530 0.806
Si4 0.505 0.804 0.307
Si5 0.647 0.348 0.962
Si6 0.657 0.130 0.459
O1 0.060 0.005 0.125
O2 0.065 0.894 0.624
O3 0.261 0.551 0.852
O4 0.296 0.532 0.354
O5 0.318 0.244 0.746
O6 0.323 0.939 0.256
O7 0.347 0.724 0.117
O8 0.350 0.057 0.967
O9 0.379 0.460 0.607
O10 0.381 0.175 0.448
O11 0.587 0.855 0.513
O12 0.636 0.296 0.147
O13 0.649 0.614 0.012
O14 0.658 0.184 0.650
O15 0.688 0.802 0.754
O16 0.701 0.449 0.868
O17 0.709 0.769 0.249
O18 0.733 0.053 0.373
O19 0.923 0.314 0.993
O20 0.949 0.406 0.496
```